Starting from the PBE+U geometry in Alexandria, the powder XRD pattern of Te3W2Se4Cl8O2 was simulated for λ = 1.5418 Å (Cu Kα).
Intensities are scaled so that the largest is 100.

```
Te3W2Se4Cl8O2
1.0
6.513 -5.658 0.000
6.513 5.658 0.000
-3.818 0.000 14.968
Te W Se Cl O
6 4 8 16 4
Direct
0.073 0.927 0.500
0.087 0.806 0.196
0.194 0.914 0.804
0.806 0.087 0.696
0.914 0.194 0.304
0.927 0.073 0.000
0.495 0.500 0.625
0.500 0.495 0.125
0.500 0.504 0.376
0.504 0.500 0.876
0.059 0.206 0.471
0.083 0.175 0.736
0.175 0.083 0.236
0.206 0.059 0.971
0.794 0.942 0.529
0.826 0.917 0.264
0.917 0.826 0.764
0.942 0.794 0.029
0.216 0.579 0.604
0.219 0.582 0.853
0.224 0.456 0.339
0.227 0.449 0.094
0.418 0.780 0.147
0.421 0.783 0.396
0.449 0.227 0.594
0.456 0.224 0.839
0.543 0.777 0.661
0.550 0.773 0.907
0.579 0.216 0.104
0.582 0.219 0.353
0.773 0.550 0.407
0.777 0.543 0.161
0.780 0.418 0.647
0.783 0.421 0.896
0.500 0.500 0.000
0.500 0.500 0.250
0.500 0.500 0.500
0.500 0.500 0.750
```

Largest 10 diffraction maxima, by angle, 2θ = 10–90°:
14.03 deg, I 100.0; 15.66 deg, I 58.0; 21.09 deg, I 25.3; 22.55 deg, I 13.2; 24.39 deg, I 78.5; 27.63 deg, I 42.7; 31.72 deg, I 19.5; 31.86 deg, I 31.4; 45.82 deg, I 13.2; 51.15 deg, I 13.1